Li4H6Ru: simulated powder diffractogram (Cu Kα X-rays), based on a DFT-relaxed cell (PBE, Alexandria).
Lines closer than 0.1° are merged.

Unit cell a=8.0538 b=8.0538 c=9.8471 alpha=90.00 beta=90.00 gamma=120.00
Space group R-3c (No. 167, hexagonal axes)
One atom of each set of equivalent atoms:
Li 0.0000 0.0000 0.2500 x6
Li 0.0000 0.3759 0.2500 x18
H 0.0407 0.1906 0.3987 x36
Ru 0.0000 0.0000 0.0000 x6

Largest 10 diffraction maxima, by angle, 10° ≤ 2θ ≤ 80°:
- (1 1 0), 22.09°, I = 100
- (2 0 2), 31.43°, I = 17
- (3 0 0), 38.75°, I = 46
- (0 2 4), 45.05°, I = 16
- (2 1 4), 50.72°, I = 23
- (0 4 2), 55.96°, I = 4
- (1 1 6), 60.90°, I = 23
- (3 2 4), 70.15°, I = 11
- (2 2 6), 74.56°, I = 7
- (0 5 4), 78.85°, I = 4

---

Li3H3Ru: simulated powder diffractogram (Cu Kα X-rays), based on a DFT-relaxed cell (PBE, Alexandria).
Lines closer than 0.1° are merged.

Unit cell a=5.7174 b=8.8813 c=5.1148 alpha=90.00 beta=93.35 gamma=90.00
Space group C2/m (No. 12)
One atom of each set of equivalent atoms:
Li 0.0000 0.1711 0.0000 x4
Li 0.0000 0.2747 0.5000 x4
Li 0.1336 0.5000 0.8486 x4
H 0.0791 0.0000 0.2834 x4
H 0.1627 0.3672 0.1729 x8
Ru 0.2122 0.0000 0.6192 x4

Largest 10 diffraction maxima, by angle, 10° ≤ 2θ ≤ 80°:
- (0 0 1), 17.37°, I = 67
- (0 2 0), 19.99°, I = 100
- (1 1 -1), 24.82°, I = 79
- (1 1 1), 26.09°, I = 24
- (0 2 1), 26.60°, I = 48
- (2 2 0), 37.46°, I = 37
- (1 3 -1), 38.09°, I = 29
- (1 1 -2), 39.14°, I = 37
- (1 1 2), 40.84°, I = 28
- (2 2 1), 42.38°, I = 29

---

Li4HS2: simulated powder diffractogram (Cu Kα X-rays), based on a DFT-relaxed cell (PBE, Alexandria).
Lines closer than 0.1° are merged.

Unit cell a=3.6710 b=3.6710 c=13.2276 alpha=90.00 beta=90.00 gamma=90.00
Space group I4/mmm (No. 139)
One atom of each set of equivalent atoms:
Li 0.0000 0.0000 0.1746 x4
Li 0.0000 0.5000 0.0000 x4
H 0.0000 0.0000 0.0000 x2
S 0.0000 0.0000 0.3628 x4

Largest 10 diffraction maxima, by angle, 10° ≤ 2θ ≤ 80°:
- (1 0 1), 25.18°, I = 100
- (0 0 4), 26.96°, I = 45
- (1 0 3), 31.72°, I = 86
- (1 1 0), 34.55°, I = 67
- (1 0 5), 42.10°, I = 19
- (1 1 4), 44.36°, I = 76
- (2 0 0), 49.67°, I = 36
- (1 0 7), 54.62°, I = 31
- (2 1 3), 60.14°, I = 21
- (2 1 7), 76.93°, I = 18

---

Li4SbH: simulated powder diffractogram (Cu Kα X-rays), based on a DFT-relaxed cell (PBE, Alexandria).
Lines closer than 0.1° are merged.

Unit cell a=4.7002 b=8.1287 c=5.7138 alpha=90.00 beta=91.03 gamma=90.00
Space group P2_1/m (No. 11)
One atom of each set of equivalent atoms:
Li 0.2100 0.2500 0.3686 x2
Li 0.2518 0.5908 0.8924 x4
Li 0.2536 0.7500 0.3569 x2
Sb 0.2543 0.2500 0.8755 x2
H 0.2022 0.7500 0.6606 x2

Largest 10 diffraction maxima, by angle, 10° ≤ 2θ ≤ 80°:
- (0 0 1), 15.51°, I = 39
- (0 1 1), 18.99°, I = 42
- (0 2 0), 21.85°, I = 100
- (1 0 -1), 24.31°, I = 14
- (1 1 -1), 26.70°, I = 18
- (0 2 1), 26.92°, I = 16
- (1 1 1), 27.10°, I = 20
- (0 1 2), 33.25°, I = 31
- (2 0 0), 38.33°, I = 29
- (2 2 0), 44.56°, I = 17

---

Li2SnSbH: simulated powder diffractogram (Cu Kα X-rays), based on a DFT-relaxed cell (PBE, Alexandria).
Lines closer than 0.1° are merged.

Unit cell a=4.4636 b=4.4636 c=4.5594 alpha=90.00 beta=90.00 gamma=90.00
Space group P4/mmm (No. 123)
One atom of each set of equivalent atoms:
Li 0.0000 0.5000 0.0000 x2
Sn 0.0000 0.0000 0.5000 x1
Sb 0.5000 0.5000 0.5000 x1
H 0.0000 0.0000 0.0000 x1

Largest 10 diffraction maxima, by angle, 10° ≤ 2θ ≤ 80°:
- (0 0 1), 19.47°, I = 87
- (1 1 0), 28.28°, I = 73
- (1 1 1), 34.56°, I = 100
- (0 0 2), 39.53°, I = 18
- (2 0 0), 40.42°, I = 33
- (2 0 1), 45.24°, I = 40
- (1 1 2), 49.31°, I = 32
- (2 0 2), 57.82°, I = 23
- (3 1 1), 69.74°, I = 27
- (3 1 2), 79.94°, I = 16

---

Li2ScH6: simulated powder diffractogram (Cu Kα X-rays), based on a DFT-relaxed cell (PBE, Alexandria).
Lines closer than 0.1° are merged.

Unit cell a=7.0241 b=7.0241 c=7.0241 alpha=90.00 beta=90.00 gamma=90.00
Space group Fm-3m (No. 225)
One atom of each set of equivalent atoms:
Li 0.2500 0.2500 0.2500 x8
Sc 0.0000 0.0000 0.0000 x4
H 0.0000 0.0000 0.2766 x24

Largest 10 diffraction maxima, by angle, 10° ≤ 2θ ≤ 80°:
- (1 1 1), 21.92°, I = 100
- (2 0 0), 25.36°, I = 41
- (2 2 0), 36.17°, I = 57
- (3 1 1), 42.69°, I = 51
- (4 0 0), 52.08°, I = 12
- (3 3 1), 57.16°, I = 21
- (4 2 0), 58.79°, I = 11
- (4 2 2), 65.05°, I = 19
- (3 3 3), 69.54°, I = 13
- (4 4 0), 76.76°, I = 6

---

Li4HSe2: simulated powder diffractogram (Cu Kα X-rays), based on a DFT-relaxed cell (PBE, Alexandria).
Lines closer than 0.1° are merged.

Unit cell a=3.7948 b=3.7948 c=14.0093 alpha=90.00 beta=90.00 gamma=90.00
Space group I4/mmm (No. 139)
One atom of each set of equivalent atoms:
Li 0.0000 0.0000 0.1721 x4
Li 0.0000 0.5000 0.0000 x4
H 0.0000 0.0000 0.0000 x2
Se 0.0000 0.0000 0.3606 x4

Largest 10 diffraction maxima, by angle, 10° ≤ 2θ ≤ 80°:
- (1 0 1), 24.30°, I = 95
- (0 0 4), 25.43°, I = 46
- (1 0 3), 30.35°, I = 100
- (1 1 0), 33.39°, I = 59
- (1 1 4), 42.44°, I = 61
- (2 0 0), 47.95°, I = 27
- (1 0 7), 51.63°, I = 31
- (2 0 4), 55.04°, I = 21
- (2 1 3), 57.81°, I = 31
- (2 1 7), 73.11°, I = 22

---

Li2H2Se: simulated powder diffractogram (Cu Kα X-rays), based on a DFT-relaxed cell (PBE, Alexandria).
Lines closer than 0.1° are merged.

Unit cell a=7.5048 b=4.4591 c=4.4564 alpha=90.00 beta=125.92 gamma=90.00
Space group C2/m (No. 12)
One atom of each set of equivalent atoms:
Li 0.2499 0.0000 0.2479 x4
H 0.0627 0.5000 0.0677 x4
Se 0.0000 0.0000 0.5000 x2

Largest 10 diffraction maxima, by angle, 10° ≤ 2θ ≤ 80°:
- (1 1 0), 24.73°, I = 100
- (2 0 -1), 24.88°, I = 33
- (1 1 -1), 28.31°, I = 43
- (2 0 0), 29.39°, I = 19
- (0 2 0), 40.47°, I = 26
- (1 1 1), 41.13°, I = 24
- (3 1 -1), 41.40°, I = 24
- (1 1 -2), 47.94°, I = 22
- (2 2 -1), 48.12°, I = 22
- (3 1 0), 49.41°, I = 10

---

Li2SnH6: simulated powder diffractogram (Cu Kα X-rays), based on a DFT-relaxed cell (PBE, Alexandria).
Lines closer than 0.1° are merged.

Unit cell a=7.0445 b=7.0445 c=7.0445 alpha=90.00 beta=90.00 gamma=90.00
Space group Fm-3m (No. 225)
One atom of each set of equivalent atoms:
Li 0.2500 0.2500 0.2500 x8
Sn 0.0000 0.0000 0.0000 x4
H 0.0000 0.0000 0.2665 x24

Largest 10 diffraction maxima, by angle, 10° ≤ 2θ ≤ 80°:
- (1 1 1), 21.85°, I = 100
- (2 0 0), 25.29°, I = 48
- (2 2 0), 36.06°, I = 49
- (3 1 1), 42.56°, I = 56
- (2 2 2), 44.56°, I = 12
- (4 0 0), 51.92°, I = 10
- (3 3 1), 56.98°, I = 24
- (4 2 0), 58.60°, I = 19
- (4 2 2), 64.84°, I = 19
- (3 3 3), 69.31°, I = 18

---

SrLiH2: simulated powder diffractogram (Cu Kα X-rays), based on a DFT-relaxed cell (PBE, Alexandria).
Lines closer than 0.1° are merged.

Unit cell a=5.4922 b=5.4922 c=6.7238 alpha=90.00 beta=90.00 gamma=120.00
Space group P3_121 (No. 152)
One atom of each set of equivalent atoms:
Sr 0.0000 0.6499 0.1667 x3
Li 0.0000 0.6581 0.6667 x3
H 0.1704 0.5208 0.8403 x6

Largest 10 diffraction maxima, by angle, 10° ≤ 2θ ≤ 80°:
- (1 0 0), 18.66°, I = 1
- (0 1 1), 22.90°, I = 97
- (1 0 2), 32.61°, I = 100
- (0 0 3), 40.23°, I = 32
- (0 2 2), 46.79°, I = 19
- (1 1 3), 52.71°, I = 40
- (0 1 4), 58.20°, I = 37
- (2 0 4), 68.33°, I = 12
- (1 0 5), 73.11°, I = 18
- (1 2 4), 77.78°, I = 16

---

Sr4Li2H: simulated powder diffractogram (Cu Kα X-rays), based on a DFT-relaxed cell (PBE, Alexandria).
Lines closer than 0.1° are merged.

Unit cell a=5.2404 b=5.2404 c=18.7356 alpha=90.00 beta=90.00 gamma=90.00
Space group I4/mmm (No. 139)
One atom of each set of equivalent atoms:
Sr 0.0000 0.0000 0.1774 x4
Sr 0.0000 0.5000 0.0000 x4
Li 0.0000 0.0000 0.3681 x4
H 0.0000 0.0000 0.0000 x2

Largest 10 diffraction maxima, by angle, 10° ≤ 2θ ≤ 80°:
- (1 0 3), 22.14°, I = 48
- (1 1 2), 25.86°, I = 100
- (0 0 6), 28.59°, I = 28
- (1 0 5), 29.30°, I = 18
- (1 1 4), 30.77°, I = 42
- (2 0 0), 34.22°, I = 40
- (2 1 3), 41.14°, I = 19
- (2 0 6), 45.17°, I = 32
- (1 1 8), 45.84°, I = 27
- (3 1 2), 56.38°, I = 23

---

Li3TcH6: simulated powder diffractogram (Cu Kα X-rays), based on a DFT-relaxed cell (PBE, Alexandria).
Lines closer than 0.1° are merged.

Unit cell a=8.5415 b=4.9309 c=4.7886 alpha=90.00 beta=123.13 gamma=90.00
Space group C2/m (No. 12)
One atom of each set of equivalent atoms:
Li 0.0000 0.0000 0.0000 x2
Li 0.2494 0.0000 0.7800 x4
Tc 0.0000 0.5000 0.5000 x2
H 0.0778 0.2571 0.8165 x8
H 0.2341 0.5000 0.6072 x4

Largest 10 diffraction maxima, by angle, 10° ≤ 2θ ≤ 80°:
- (1 1 0), 21.89°, I = 100
- (0 0 1), 22.17°, I = 46
- (2 0 -1), 22.52°, I = 50
- (2 0 0), 24.90°, I = 36
- (1 1 -1), 25.94°, I = 68
- (1 1 1), 36.03°, I = 38
- (3 1 -1), 36.47°, I = 55
- (3 1 0), 42.08°, I = 25
- (0 2 1), 43.07°, I = 17
- (1 1 -2), 43.71°, I = 17